This entry pairs a crystal structure of Li2Co4O7F with its simulated XRD peak list. Radiation: a wavelength of 1.5418 Å. Structure: a DFT-relaxed cell (GGA+U, Alexandria).

Principal peaks in the range 2θ from 10° to 90°, in order of rising 2θ:
2θ/deg	Rel. int.
18.66	100
21.33	28
30.97	30
35.79	34
35.96	57
37.36	16
37.67	25
43.45	39
45.91	16
57.46	26
64.56	22
65.54	23

Atomic structure:
```
data_Li2Co4O7F
_chemical_formula_sum 'Li2 Co4 O7 F1'
_cell_length_a 5.705
_cell_length_b 5.705
_cell_length_c 5.873
_cell_angle_alpha 120.10
_cell_angle_beta 120.10
_cell_angle_gamma 62.39
_space_group_name_H-M_alt 'P 1'
_space_group_IT_number 1
loop_
_space_group_symop_operation_xyz
'x,y,z'
loop_
_atom_site_label
_atom_site_type_symbol
_atom_site_fract_x
_atom_site_fract_y
_atom_site_fract_z
Li1 Li 0.000 0.000 0.000
Li2 Li 0.617 0.617 0.870
Co1 Co 0.000 0.000 0.504
Co2 Co 0.006 0.502 0.496
Co3 Co 0.378 0.378 0.131
Co4 Co 0.502 0.006 0.496
O1 O 0.204 0.765 0.712
O2 O 0.246 0.787 0.286
O3 O 0.250 0.250 0.722
O4 O 0.258 0.258 0.272
O5 O 0.759 0.759 0.292
O6 O 0.765 0.204 0.712
O7 O 0.787 0.246 0.286
F1 F 0.755 0.755 0.752
```